Entry 1:
Calculated XRD peak list
Compound: Tm8Pt
Radiation: CuKα
Structure: a crystal structure in OQMD, relaxed with PBE
Kinematic intensities with the Lorentz-polarization factor, no thermal factor.

Atomic structure:
```
data_Tm8Pt
_cell_length_a 8.9901
_cell_length_b 8.9901
_cell_length_c 3.6130
_cell_angle_alpha 90.00
_cell_angle_beta 90.00
_cell_angle_gamma 120.00
_symmetry_space_group_name_H-M 'P 1'
_symmetry_Int_Tables_number 1
loop_
_symmetry_equiv_pos_as_xyz
'x,y,z'
loop_
_atom_site_label
_atom_site_type_symbol
_atom_site_fract_x
_atom_site_fract_y
_atom_site_fract_z
Tm1 Tm 0.0000 0.2465 0.0000
Tm2 Tm 0.0000 0.6132 0.5000
Tm3 Tm 0.2465 0.0000 0.0000
Tm4 Tm 0.3333 0.6667 0.0000
Tm5 Tm 0.3868 0.3868 0.5000
Tm6 Tm 0.6132 0.0000 0.5000
Tm7 Tm 0.6667 0.3333 0.0000
Tm8 Tm 0.7535 0.7535 0.0000
Pt1 Pt 0.0000 0.0000 0.5000
```

Principal peaks in the range 2θ from 15° to 90°, by angle:
| two_theta | I_rel |
| --- | --- |
| 30.37 | 65 |
| 31.78 | 100 |
| 33.85 | 84 |
| 34.56 | 75 |
| 39.50 | 59 |
| 49.15 | 11 |
| 50.52 | 20 |
| 53.97 | 15 |
| 57.56 | 47 |
| 60.14 | 33 |
| 62.66 | 27 |
| 86.23 | 16 |

---

Entry 2:
Calculated XRD peak list
Compound: YTm2Zn3Pt3
Radiation: CuKα
Structure: a crystal structure in OQMD, relaxed with PBE
Kinematic intensities with the Lorentz-polarization factor, no thermal factor.

Atomic structure:
```
data_YTm2Zn3Pt3
_cell_length_a 3.8710
_cell_length_b 7.2363
_cell_length_c 7.2363
_cell_angle_alpha 120.34
_cell_angle_beta 90.00
_cell_angle_gamma 90.00
_symmetry_space_group_name_H-M 'P 1'
_symmetry_Int_Tables_number 1
loop_
_symmetry_equiv_pos_as_xyz
'x,y,z'
loop_
_atom_site_label
_atom_site_type_symbol
_atom_site_fract_x
_atom_site_fract_y
_atom_site_fract_z
Y1 Y 0.0000 0.0000 0.0000
Tm1 Tm 0.0000 0.1920 0.5941
Tm2 Tm 0.0000 0.5941 0.1920
Zn1 Zn 0.5000 0.3406 0.3406
Zn2 Zn 0.5000 0.5944 0.8457
Zn3 Zn 0.5000 0.8457 0.5944
Pt1 Pt 0.0000 0.5903 0.5903
Pt2 Pt 0.5000 0.2665 0.9259
Pt3 Pt 0.5000 0.9259 0.2665
```

Principal peaks in the range 2θ from 15° to 90°, by angle:
| two_theta | I_rel |
| --- | --- |
| 24.61 | 37 |
| 27.10 | 33 |
| 33.95 | 100 |
| 36.87 | 36 |
| 36.99 | 98 |
| 37.98 | 24 |
| 43.24 | 20 |
| 43.47 | 46 |
| 44.85 | 45 |
| 46.94 | 35 |
| 65.89 | 27 |
| 69.78 | 30 |

---

Entry 3:
Calculated XRD peak list
Compound: YUPt
Radiation: CuKα
Structure: a crystal structure in OQMD, relaxed with PBE
Kinematic intensities with the Lorentz-polarization factor, no thermal factor.

Atomic structure:
```
data_YUPt
_cell_length_a 4.8565
_cell_length_b 4.8565
_cell_length_c 4.8565
_cell_angle_alpha 60.00
_cell_angle_beta 60.00
_cell_angle_gamma 60.00
_symmetry_space_group_name_H-M 'P 1'
_symmetry_Int_Tables_number 1
loop_
_symmetry_equiv_pos_as_xyz
'x,y,z'
loop_
_atom_site_label
_atom_site_type_symbol
_atom_site_fract_x
_atom_site_fract_y
_atom_site_fract_z
Y1 Y 0.0000 0.0000 0.0000
U1 U 0.5000 0.5000 0.5000
Pt1 Pt 0.7500 0.7500 0.7500
```

Principal peaks in the range 2θ from 15° to 90°, by angle:
| two_theta | I_rel |
| --- | --- |
| 22.42 | 50 |
| 25.95 | 8 |
| 37.02 | 100 |
| 43.71 | 27 |
| 45.76 | 2 |
| 53.36 | 18 |
| 58.59 | 12 |
| 60.26 | 3 |
| 66.72 | 37 |
| 71.36 | 9 |
| 78.83 | 12 |
| 83.22 | 9 |

---

Entry 4:
Calculated XRD peak list
Compound: Pt12W
Radiation: CuKα
Structure: a crystal structure in OQMD, relaxed with PBE
Kinematic intensities with the Lorentz-polarization factor, no thermal factor.

Atomic structure:
```
data_Pt12W
_cell_length_a 6.4828
_cell_length_b 6.4828
_cell_length_c 6.4828
_cell_angle_alpha 109.47
_cell_angle_beta 109.47
_cell_angle_gamma 109.47
_symmetry_space_group_name_H-M 'P 1'
_symmetry_Int_Tables_number 1
loop_
_symmetry_equiv_pos_as_xyz
'x,y,z'
loop_
_atom_site_label
_atom_site_type_symbol
_atom_site_fract_x
_atom_site_fract_y
_atom_site_fract_z
Pt1 Pt 0.1224 0.8151 0.3073
Pt2 Pt 0.1849 0.3073 0.4922
Pt3 Pt 0.1849 0.6927 0.8776
Pt4 Pt 0.3073 0.1224 0.8151
Pt5 Pt 0.3073 0.4922 0.1849
Pt6 Pt 0.4922 0.1849 0.3073
Pt7 Pt 0.5078 0.8151 0.6927
Pt8 Pt 0.6927 0.5078 0.8151
Pt9 Pt 0.6927 0.8776 0.1849
Pt10 Pt 0.8151 0.3073 0.1224
Pt11 Pt 0.8151 0.6927 0.5078
Pt12 Pt 0.8776 0.1849 0.6927
W1 W 0.0000 0.0000 0.0000
```

Principal peaks in the range 2θ from 15° to 90°, by angle:
| two_theta | I_rel |
| --- | --- |
| 33.87 | 16 |
| 38.01 | 100 |
| 41.80 | 41 |
| 45.33 | 77 |
| 48.65 | 11 |
| 51.82 | 5 |
| 60.60 | 7 |
| 63.35 | 10 |
| 73.81 | 40 |
| 76.33 | 12 |
| 78.82 | 36 |
| 88.61 | 11 |

---

Entry 5:
Calculated XRD peak list
Compound: Y8Pt
Radiation: CuKα
Structure: a crystal structure in OQMD, relaxed with PBE
Kinematic intensities with the Lorentz-polarization factor, no thermal factor.

Atomic structure:
```
data_Y8Pt
_cell_length_a 9.1608
_cell_length_b 9.1608
_cell_length_c 3.7083
_cell_angle_alpha 90.00
_cell_angle_beta 90.00
_cell_angle_gamma 120.00
_symmetry_space_group_name_H-M 'P 1'
_symmetry_Int_Tables_number 1
loop_
_symmetry_equiv_pos_as_xyz
'x,y,z'
loop_
_atom_site_label
_atom_site_type_symbol
_atom_site_fract_x
_atom_site_fract_y
_atom_site_fract_z
Y1 Y 0.0000 0.2447 0.0000
Y2 Y 0.0000 0.6124 0.5000
Y3 Y 0.2447 0.0000 0.0000
Y4 Y 0.3333 0.6667 0.0000
Y5 Y 0.3876 0.3876 0.5000
Y6 Y 0.6124 0.0000 0.5000
Y7 Y 0.6667 0.3333 0.0000
Y8 Y 0.7553 0.7553 0.0000
Pt1 Pt 0.0000 0.0000 0.5000
```

Principal peaks in the range 2θ from 15° to 90°, by angle:
| two_theta | I_rel |
| --- | --- |
| 19.38 | 21 |
| 26.53 | 14 |
| 29.80 | 48 |
| 31.03 | 73 |
| 33.07 | 100 |
| 33.90 | 77 |
| 38.61 | 78 |
| 49.14 | 19 |
| 52.89 | 19 |
| 56.31 | 51 |
| 61.03 | 27 |
| 84.17 | 13 |

---

Entry 6:
Calculated XRD peak list
Compound: Y3Pt2
Radiation: CuKα
Structure: a crystal structure in OQMD, relaxed with PBE
Kinematic intensities with the Lorentz-polarization factor, no thermal factor.

Atomic structure:
```
data_Y3Pt2
_cell_length_a 7.7276
_cell_length_b 7.7276
_cell_length_c 3.9934
_cell_angle_alpha 90.00
_cell_angle_beta 90.00
_cell_angle_gamma 90.00
_symmetry_space_group_name_H-M 'P 1'
_symmetry_Int_Tables_number 1
loop_
_symmetry_equiv_pos_as_xyz
'x,y,z'
loop_
_atom_site_label
_atom_site_type_symbol
_atom_site_fract_x
_atom_site_fract_y
_atom_site_fract_z
Y1 Y 0.0000 0.0000 0.0000
Y2 Y 0.1607 0.3393 0.5000
Y3 Y 0.3393 0.8393 0.5000
Y4 Y 0.5000 0.5000 0.0000
Y5 Y 0.6607 0.1607 0.5000
Y6 Y 0.8393 0.6607 0.5000
Pt1 Pt 0.1384 0.6384 0.0000
Pt2 Pt 0.3616 0.1384 0.0000
Pt3 Pt 0.6384 0.8616 0.0000
Pt4 Pt 0.8616 0.3616 0.0000
```

Principal peaks in the range 2θ from 15° to 90°, by angle:
| two_theta | I_rel |
| --- | --- |
| 16.22 | 12 |
| 22.26 | 17 |
| 25.78 | 12 |
| 34.32 | 100 |
| 36.78 | 36 |
| 43.41 | 12 |
| 45.42 | 13 |
| 47.04 | 8 |
| 48.19 | 9 |
| 59.81 | 18 |
| 69.62 | 18 |
| 76.72 | 10 |

---

> Number 4 is which compound?

Pt12W